Record 1
For TiNiSb, DFT lattice parameters and positions (GGA-PBE) gives the simulated powder diffraction line list in this record (Cu Kα (λ = 1.5418 Å)).

```
TiNiSb
1.0
5.939 0.000 0.000
0.000 5.939 0.000
0.000 0.000 5.939
Ti Ni Sb
4 4 4
direct
0.000 0.000 0.000
0.000 0.500 0.500
0.500 0.000 0.500
0.500 0.500 0.000
0.250 0.250 0.750
0.250 0.750 0.250
0.750 0.250 0.250
0.750 0.750 0.750
0.000 0.000 0.500
0.000 0.500 0.000
0.500 0.000 0.000
0.500 0.500 0.500
```

The 10 most intense peaks (2θ from 15° to 90°), by intensity:
- 43.08 deg, I = 1000
- 25.98 deg, I = 465
- 78.97 deg, I = 310
- 30.09 deg, I = 266
- 51.00 deg, I = 220
- 62.56 deg, I = 156
- 68.91 deg, I = 88
- 70.97 deg, I = 86
- 84.83 deg, I = 68
- 53.44 deg, I = 68

Record 2
For Tm5Ni2Sb, DFT lattice parameters and positions (GGA-PBE) gives the simulated powder diffraction line list in this record (Cu Kα (λ = 1.5418 Å)).

```
Tm5Ni2Sb
1.0
-3.720 3.720 6.711
3.720 -3.720 6.711
3.720 3.720 -6.711
Tm Ni Sb
10 4 2
direct
0.000 0.000 0.000
0.022 0.522 0.816
0.205 0.022 0.500
0.295 0.795 0.816
0.478 0.295 0.500
0.500 0.500 0.000
0.522 0.705 0.500
0.705 0.205 0.184
0.795 0.978 0.500
0.978 0.478 0.184
0.131 0.369 0.500
0.369 0.869 0.238
0.631 0.131 0.762
0.869 0.631 0.500
0.250 0.250 0.000
0.750 0.750 0.000
```

The 10 most intense peaks (2θ from 15° to 90°), by intensity:
- 33.56 deg, I = 1000
- 38.25 deg, I = 650
- 36.04 deg, I = 429
- 31.63 deg, I = 368
- 27.62 deg, I = 341
- 59.47 deg, I = 245
- 55.26 deg, I = 241
- 68.71 deg, I = 194
- 43.31 deg, I = 168
- 71.46 deg, I = 146

Record 3
For U3Ni3Sb4, DFT lattice parameters and positions (GGA-PBE) gives the simulated powder diffraction line list in this record (Cu Kα (λ = 1.5418 Å)).

```
U3Ni3Sb4
1.0
-4.691 4.691 4.691
4.691 -4.691 4.691
4.691 4.691 -4.691
U Ni Sb
6 6 8
direct
0.125 0.875 0.250
0.250 0.125 0.875
0.375 0.625 0.750
0.625 0.750 0.375
0.750 0.375 0.625
0.875 0.250 0.125
0.125 0.750 0.875
0.250 0.625 0.375
0.375 0.250 0.625
0.625 0.375 0.250
0.750 0.875 0.125
0.875 0.125 0.750
0.000 0.168 0.500
0.000 0.668 0.500
0.168 0.500 0.000
0.332 0.332 0.332
0.500 0.000 0.168
0.500 0.000 0.668
0.668 0.500 0.000
0.832 0.832 0.832
```

The 10 most intense peaks (2θ from 15° to 90°), by intensity:
- 35.81 deg, I = 1000
- 30.12 deg, I = 627
- 43.12 deg, I = 432
- 60.86 deg, I = 247
- 74.28 deg, I = 172
- 23.22 deg, I = 162
- 45.34 deg, I = 150
- 47.47 deg, I = 144
- 53.49 deg, I = 120
- 64.35 deg, I = 116

Record 4
For U2NiSb4, DFT lattice parameters and positions (GGA-PBE) gives the simulated powder diffraction line list in this record (Cu Kα (λ = 1.5418 Å)).

```
U2NiSb4
1.0
4.341 0.000 0.000
0.000 4.341 0.000
0.000 0.000 8.997
U Ni Sb
2 1 4
direct
0.000 0.500 0.227
0.500 0.000 0.773
0.500 0.500 0.000
0.000 0.000 0.500
0.000 0.500 0.851
0.500 0.000 0.149
0.500 0.500 0.500
```

The 10 most intense peaks (2θ from 15° to 90°), by intensity:
- 35.40 deg, I = 1000
- 41.61 deg, I = 486
- 36.41 deg, I = 348
- 30.78 deg, I = 325
- 22.74 deg, I = 307
- 71.91 deg, I = 259
- 29.79 deg, I = 210
- 56.46 deg, I = 201
- 29.09 deg, I = 188
- 52.01 deg, I = 178

Record 5
For V2NiSb2, DFT lattice parameters and positions (GGA-PBE) gives the simulated powder diffraction line list in this record (Cu Kα (λ = 1.5418 Å)).

```
V2NiSb2
1.0
4.300 0.000 0.000
-2.150 3.724 0.000
0.000 0.000 5.468
V Ni Sb
2 1 2
direct
0.000 0.000 0.239
0.000 0.000 0.761
0.667 0.333 0.500
0.333 0.667 0.500
0.667 0.333 0.000
```

The 10 most intense peaks (2θ from 15° to 90°), by intensity:
- 42.02 deg, I = 1000
- 40.95 deg, I = 870
- 29.01 deg, I = 833
- 60.12 deg, I = 262
- 76.05 deg, I = 254
- 54.28 deg, I = 251
- 83.87 deg, I = 245
- 32.76 deg, I = 174
- 51.87 deg, I = 164
- 23.89 deg, I = 160

Record 6
For V2NiSb, DFT lattice parameters and positions (GGA-PBE) gives the simulated powder diffraction line list in this record (Cu Kα (λ = 1.5418 Å)).

```
V2NiSb
1.0
6.183 0.000 0.000
0.000 6.183 0.000
0.000 0.000 6.183
V Ni Sb
8 4 4
direct
0.000 0.000 0.000
0.000 0.500 0.500
0.250 0.250 0.250
0.250 0.750 0.750
0.500 0.000 0.500
0.500 0.500 0.000
0.750 0.250 0.750
0.750 0.750 0.250
0.250 0.250 0.750
0.250 0.750 0.250
0.750 0.250 0.250
0.750 0.750 0.750
0.000 0.000 0.500
0.000 0.500 0.000
0.500 0.000 0.000
0.500 0.500 0.500
```

The 10 most intense peaks (2θ from 15° to 90°), by intensity:
- 41.30 deg, I = 1000
- 75.30 deg, I = 307
- 24.94 deg, I = 159
- 59.83 deg, I = 157
- 89.71 deg, I = 99
- 48.85 deg, I = 83
- 28.88 deg, I = 50
- 65.84 deg, I = 35
- 80.76 deg, I = 27
- 67.78 deg, I = 19

Record 7
For V4NiSb4, DFT lattice parameters and positions (GGA-PBE) gives the simulated powder diffraction line list in this record (Cu Kα (λ = 1.5418 Å)).

```
V4NiSb4
1.0
4.252 0.000 0.000
-2.126 3.682 0.000
0.000 0.000 10.942
V Ni Sb
4 1 4
direct
0.000 0.000 0.125
0.000 0.000 0.374
0.000 0.000 0.626
0.000 0.000 0.875
0.333 0.667 0.000
0.333 0.667 0.250
0.333 0.667 0.750
0.667 0.333 0.000
0.667 0.333 0.500
```

The 10 most intense peaks (2θ from 15° to 90°), by intensity:
- 29.23 deg, I = 1000
- 42.52 deg, I = 753
- 41.11 deg, I = 676
- 60.63 deg, I = 201
- 76.85 deg, I = 194
- 84.17 deg, I = 194
- 52.44 deg, I = 193
- 69.72 deg, I = 163
- 54.68 deg, I = 162
- 56.29 deg, I = 155

Record 8
For Y5Ni2Sb, DFT lattice parameters and positions (GGA-PBE) gives the simulated powder diffraction line list in this record (Cu Kα (λ = 1.5418 Å)).

```
Y5Ni2Sb
1.0
-3.825 3.825 6.813
3.825 -3.825 6.813
3.825 3.825 -6.813
Y Ni Sb
10 4 2
direct
0.000 0.000 0.000
0.021 0.521 0.817
0.204 0.021 0.500
0.296 0.796 0.817
0.479 0.296 0.500
0.500 0.500 0.000
0.521 0.704 0.500
0.704 0.204 0.183
0.796 0.979 0.500
0.979 0.479 0.183
0.128 0.372 0.500
0.372 0.872 0.245
0.628 0.128 0.755
0.872 0.628 0.500
0.250 0.250 0.000
0.750 0.750 0.000
```

The 10 most intense peaks (2θ from 15° to 90°), by intensity:
- 32.77 deg, I = 1000
- 37.16 deg, I = 726
- 35.28 deg, I = 452
- 31.03 deg, I = 333
- 67.22 deg, I = 206
- 57.86 deg, I = 198
- 42.41 deg, I = 180
- 33.12 deg, I = 164
- 69.30 deg, I = 133
- 26.87 deg, I = 118

Record 9
For ZnNi3Sb2, DFT lattice parameters and positions (GGA-PBE) gives the simulated powder diffraction line list in this record (Cu Kα (λ = 1.5418 Å)).

```
ZnNi3Sb2
1.0
4.149 0.000 0.000
-2.074 3.593 0.000
0.000 0.000 6.355
Zn Ni Sb
1 3 2
direct
0.000 0.000 0.000
0.000 0.000 0.500
0.333 0.667 0.892
0.667 0.333 0.108
0.333 0.667 0.302
0.667 0.333 0.698
```

The 10 most intense peaks (2θ from 15° to 90°), by intensity:
- 37.79 deg, I = 1000
- 43.63 deg, I = 816
- 28.54 deg, I = 326
- 59.07 deg, I = 258
- 76.24 deg, I = 236
- 49.98 deg, I = 214
- 80.12 deg, I = 164
- 64.08 deg, I = 99
- 84.80 deg, I = 89
- 68.48 deg, I = 80

Record 10
For ZnNiSb, DFT lattice parameters and positions (GGA-PBE) gives the simulated powder diffraction line list in this record (Cu Kα (λ = 1.5418 Å)).

```
ZnNiSb
1.0
5.947 0.000 0.000
0.000 5.947 0.000
0.000 0.000 5.947
Zn Ni Sb
4 4 4
direct
0.000 0.000 0.000
0.000 0.500 0.500
0.500 0.000 0.500
0.500 0.500 0.000
0.250 0.250 0.750
0.250 0.750 0.250
0.750 0.250 0.250
0.750 0.750 0.750
0.000 0.000 0.500
0.000 0.500 0.000
0.500 0.000 0.000
0.500 0.500 0.500
```

The 10 most intense peaks (2θ from 15° to 90°), by intensity:
- 43.02 deg, I = 1000
- 30.05 deg, I = 328
- 78.86 deg, I = 313
- 25.95 deg, I = 267
- 62.47 deg, I = 157
- 50.93 deg, I = 121
- 70.87 deg, I = 110
- 53.37 deg, I = 86
- 68.82 deg, I = 48
- 84.70 deg, I = 37

Record 11
For Zr5NiSb9, DFT lattice parameters and positions (GGA-PBE) gives the simulated powder diffraction line list in this record (Cu Kα (λ = 1.5418 Å)).

```
Zr5NiSb9
1.0
8.895 0.000 0.000
0.000 8.895 0.000
0.000 0.000 8.854
Zr Ni Sb
10 2 18
direct
0.046 0.853 0.234
0.147 0.546 0.766
0.250 0.250 0.244
0.353 0.954 0.766
0.454 0.647 0.234
0.546 0.353 0.766
0.647 0.046 0.234
0.750 0.750 0.756
0.853 0.454 0.234
0.954 0.147 0.766
0.250 0.750 0.500
0.750 0.250 0.500
0.023 0.334 0.499
0.052 0.848 0.885
0.152 0.552 0.115
0.166 0.023 0.499
0.250 0.250 0.893
0.334 0.477 0.499
0.348 0.948 0.115
0.448 0.652 0.885
0.477 0.166 0.499
0.523 0.834 0.501
0.552 0.348 0.115
0.652 0.052 0.885
0.666 0.523 0.501
0.750 0.750 0.107
0.834 0.977 0.501
0.848 0.448 0.885
0.948 0.152 0.115
0.977 0.666 0.501
```

The 10 most intense peaks (2θ from 15° to 90°), by intensity:
- 33.43 deg, I = 1000
- 37.96 deg, I = 618
- 37.90 deg, I = 552
- 45.61 deg, I = 474
- 30.20 deg, I = 364
- 60.79 deg, I = 313
- 30.28 deg, I = 310
- 55.71 deg, I = 294
- 31.81 deg, I = 197
- 79.18 deg, I = 147

Record 12
For Zr3Ni3Sb4, DFT lattice parameters and positions (GGA-PBE) gives the simulated powder diffraction line list in this record (Cu Kα (λ = 1.5418 Å)).

```
Zr3Ni3Sb4
1.0
-4.569 4.569 4.569
4.569 -4.569 4.569
4.569 4.569 -4.569
Zr Ni Sb
6 6 8
direct
0.125 0.750 0.875
0.250 0.625 0.375
0.375 0.250 0.625
0.625 0.375 0.250
0.750 0.875 0.125
0.875 0.125 0.750
0.125 0.875 0.250
0.250 0.125 0.875
0.375 0.625 0.750
0.625 0.750 0.375
0.750 0.375 0.625
0.875 0.250 0.125
0.000 0.335 0.500
0.000 0.835 0.500
0.165 0.165 0.165
0.335 0.500 0.000
0.500 0.000 0.335
0.500 0.000 0.835
0.665 0.665 0.665
0.835 0.500 0.000
```

The 10 most intense peaks (2θ from 15° to 90°), by intensity:
- 36.80 deg, I = 1000
- 30.95 deg, I = 401
- 44.33 deg, I = 232
- 48.82 deg, I = 190
- 50.96 deg, I = 163
- 64.49 deg, I = 120
- 62.67 deg, I = 109
- 76.63 deg, I = 90
- 69.81 deg, I = 78
- 66.29 deg, I = 76

Record 13
For Zr6NiSb2, DFT lattice parameters and positions (GGA-PBE) gives the simulated powder diffraction line list in this record (Cu Kα (λ = 1.5418 Å)).

```
Zr6NiSb2
1.0
7.814 0.000 0.000
-3.907 6.767 0.000
0.000 0.000 3.686
Zr Ni Sb
6 1 2
direct
0.000 0.242 0.000
0.000 0.597 0.500
0.242 0.000 0.000
0.403 0.403 0.500
0.597 0.000 0.500
0.758 0.758 0.000
0.000 0.000 0.500
0.333 0.667 0.000
0.667 0.333 0.000
```

The 10 most intense peaks (2θ from 15° to 90°), by intensity:
- 33.42 deg, I = 1000
- 36.03 deg, I = 846
- 35.08 deg, I = 641
- 39.97 deg, I = 433
- 43.04 deg, I = 410
- 65.20 deg, I = 307
- 62.08 deg, I = 235
- 49.46 deg, I = 220
- 65.39 deg, I = 193
- 68.44 deg, I = 165

Record 14
For ScNi, DFT lattice parameters and positions (GGA-PBE) gives the simulated powder diffraction line list in this record (Cu Kα (λ = 1.5418 Å)).

```
ScNi
1.0
3.167 0.000 0.000
0.000 3.167 0.000
0.000 0.000 3.167
Sc Ni
1 1
direct
0.000 0.000 0.000
0.500 0.500 0.500
```

The 7 most intense peaks (2θ from 15° to 90°), by intensity:
- 40.28 deg, I = 1000
- 73.21 deg, I = 295
- 58.27 deg, I = 155
- 87.03 deg, I = 91
- 28.18 deg, I = 45
- 65.96 deg, I = 17
- 49.88 deg, I = 14